La2Tb5Nd6: theoretical X-ray diffraction stick pattern (Cu Kα (weighted mean of Kα1 and Kα2)), based on a cell relaxed with GGA-PBE.
Peak positions follow from Bragg's law for the DFT cell and can differ from measured ones.

Peak list (10 most intense, 2θ = 10–90°, by intensity)
| Position (°2θ) | d [Å] | I_rel |
| --- | --- | --- |
| 31.38 | 2.850 | 100.0 |
| 31.16 | 2.870 | 97.5 |
| 30.25 | 2.954 | 57.1 |
| 30.76 | 2.907 | 46.8 |
| 33.46 | 2.678 | 41.4 |
| 59.75 | 1.548 | 30.6 |
| 55.42 | 1.658 | 29.7 |
| 34.39 | 2.608 | 27.6 |
| 35.71 | 2.514 | 26.4 |
| 49.61 | 1.838 | 23.2 |

Atomic structure:
```
data_La2Tb5Nd6
_chemical_formula_sum 'La4 Tb10 Nd12'
_cell_length_a 11.9389
_cell_length_b 20.7052
_cell_length_c 3.6753
_cell_angle_alpha 90.00
_cell_angle_beta 90.00
_cell_angle_gamma 90.00
_symmetry_space_group_name_H-M 'P 1'
_symmetry_Int_Tables_number 1
loop_
_symmetry_equiv_pos_as_xyz
'x,y,z'
loop_
_atom_site_label
_atom_site_type_symbol
_atom_site_fract_x
_atom_site_fract_y
_atom_site_fract_z
La1 La 0.1688 0.2176 0.0000
La2 La 0.3312 0.7176 0.0000
La3 La 0.6688 0.2824 0.0000
La4 La 0.8312 0.7824 0.0000
Tb1 Tb 0.0000 0.5000 0.5000
Tb2 Tb 0.0921 0.7792 0.5000
Tb3 Tb 0.2000 0.0551 0.5000
Tb4 Tb 0.3000 0.5551 0.5000
Tb5 Tb 0.4079 0.2792 0.5000
Tb6 Tb 0.5000 0.0000 0.5000
Tb7 Tb 0.5921 0.7208 0.5000
Tb8 Tb 0.7000 0.4449 0.5000
Tb9 Tb 0.8000 0.9449 0.5000
Tb10 Tb 0.9079 0.2208 0.5000
Nd1 Nd 0.0595 0.9237 0.0000
Nd2 Nd 0.0786 0.6358 0.0000
Nd3 Nd 0.1790 0.3747 0.5000
Nd4 Nd 0.3210 0.8747 0.5000
Nd5 Nd 0.4214 0.1358 0.0000
Nd6 Nd 0.4405 0.4237 0.0000
Nd7 Nd 0.5595 0.5763 0.0000
Nd8 Nd 0.5786 0.8642 0.0000
Nd9 Nd 0.6790 0.1253 0.5000
Nd10 Nd 0.8210 0.6253 0.5000
Nd11 Nd 0.9214 0.3642 0.0000
Nd12 Nd 0.9405 0.0763 0.0000
```



Ca3HfU2P6: theoretical X-ray diffraction stick pattern (Cu Kα (weighted mean of Kα1 and Kα2)), based on a cell relaxed with GGA-PBE.
Peak positions follow from Bragg's law for the DFT cell and can differ from measured ones.

Peak list (10 most intense, 2θ = 10–90°, by intensity)
| Position (°2θ) | d [Å] | I_rel |
| --- | --- | --- |
| 31.74 | 2.819 | 100.0 |
| 13.34 | 6.638 | 78.1 |
| 27.58 | 3.235 | 52.2 |
| 26.44 | 3.371 | 42.6 |
| 45.04 | 2.013 | 36.5 |
| 45.96 | 1.975 | 35.4 |
| 48.07 | 1.893 | 21.0 |
| 26.86 | 3.319 | 19.0 |
| 34.57 | 2.595 | 18.8 |
| 56.93 | 1.617 | 18.5 |

Atomic structure:
```
data_Ca3HfU2P6
_chemical_formula_sum 'Ca3 Hf1 U2 P6'
_cell_length_a 6.8403
_cell_length_b 6.8403
_cell_length_c 7.0198
_cell_angle_alpha 99.36
_cell_angle_beta 99.36
_cell_angle_gamma 120.00
_symmetry_space_group_name_H-M 'P 1'
_symmetry_Int_Tables_number 1
loop_
_symmetry_equiv_pos_as_xyz
'x,y,z'
loop_
_atom_site_label
_atom_site_type_symbol
_atom_site_fract_x
_atom_site_fract_y
_atom_site_fract_z
Ca1 Ca 0.0000 0.0000 0.0000
Ca2 Ca 0.3326 0.6674 0.0000
Ca3 Ca 0.6674 0.3326 0.0000
Hf1 Hf 0.5000 0.5000 0.5000
U1 U 0.1666 0.8334 0.5000
U2 U 0.8334 0.1666 0.5000
P1 P 0.0983 0.4250 0.2748
P2 P 0.2487 0.2487 0.7255
P3 P 0.4250 0.0983 0.2748
P4 P 0.5750 0.9017 0.7252
P5 P 0.7513 0.7513 0.2745
P6 P 0.9017 0.5750 0.7252
```



TiH4Rh: theoretical X-ray diffraction stick pattern (Cu Kα (weighted mean of Kα1 and Kα2)), based on a cell relaxed with GGA-PBE.
Peak positions follow from Bragg's law for the DFT cell and can differ from measured ones.

Peak list (10 most intense, 2θ = 10–90°, by intensity)
| Position (°2θ) | d [Å] | I_rel |
| --- | --- | --- |
| 35.45 | 2.532 | 100.0 |
| 41.82 | 2.160 | 29.1 |
| 72.23 | 1.308 | 22.8 |
| 22.81 | 3.899 | 22.2 |
| 59.13 | 1.562 | 22.2 |
| 39.85 | 2.262 | 16.7 |
| 69.51 | 1.352 | 12.8 |
| 60.62 | 1.527 | 10.2 |
| 75.03 | 1.266 | 9.9 |
| 36.32 | 2.473 | 6.8 |

Atomic structure:
```
data_TiH4Rh
_chemical_formula_sum 'Ti2 H8 Rh2'
_cell_length_a 5.4594
_cell_length_b 5.4594
_cell_length_c 5.4594
_cell_angle_alpha 133.38
_cell_angle_beta 133.38
_cell_angle_gamma 68.05
_symmetry_space_group_name_H-M 'P 1'
_symmetry_Int_Tables_number 1
loop_
_symmetry_equiv_pos_as_xyz
'x,y,z'
loop_
_atom_site_label
_atom_site_type_symbol
_atom_site_fract_x
_atom_site_fract_y
_atom_site_fract_z
Ti1 Ti 0.3750 0.6250 0.7500
Ti2 Ti 0.6250 0.3750 0.2500
H1 H 0.0000 0.2460 0.2460
H2 H 0.0000 0.7540 0.7540
H3 H 0.2460 0.0000 0.7460
H4 H 0.2460 0.5000 0.2460
H5 H 0.5000 0.2460 0.7460
H6 H 0.5000 0.7540 0.2540
H7 H 0.7540 0.0000 0.2540
H8 H 0.7540 0.5000 0.7540
Rh1 Rh 0.1250 0.8750 0.2500
Rh2 Rh 0.8750 0.1250 0.7500
```



Which formula does entry 2 have?
Ca3HfU2P6